NaAl2H8Cl4O8: computed powder diffractogram (Cu Kα, 1.54184 Å), based on a crystal structure in the Materials Project, relaxed with GGA-PBE.
Lines closer than 0.1° are merged.

Structural model:
abc: 10.1460 10.1460 7.9989
angles: 90.00 90.00 90.00
Space group P4/nmm (No. 129, origin choice 2)
Symmetry-distinct sites (fractional):
1 Na 0.2500 0.7500 0.0000
2 Al 0.0000 0.0000 0.5000
3 H 0.1257 0.7129 0.2182
4 Cl 0.0705 0.0705 0.7374
5 O 0.0138 0.6853 0.6083

Peak list (12 most intense, 10° ≤ 2θ ≤ 90°, sorted by position)
| 2θ/deg | Rel. int. | (hkl) |
| --- | --- | --- |
| 11.06 | 100 | 0 0 1 |
| 17.48 | 60 | 2 0 0 |
| 20.73 | 44 | 2 0 1 |
| 28.66 | 43 | 3 0 1 |
| 29.78 | 11 | 2 1 2 |
| 33.77 | 21 | 3 2 1 |
| 34.78 | 17 | 1 0 3 |
| 39.19 | 14 | 2 1 3 |
| 42.20 | 10 | 4 0 2 |
| 44.13 | 13 | 3 3 2 |
| 46.15 | 10 | 5 0 1 |
| 52.38 | 12 | 2 2 4 |